No. 1
Ac3CuN3: computed powder XRD pattern (CuKα), based on a PBE-relaxed structure.

The 8 most intense peaks (2θ from 10° to 80°), low angle first:
24.69°, rel. 24, (1 0 1); 29.83°, rel. 16, (0 0 3); 30.19°, rel. 100, (1 0 2); 32.16°, rel. 64, (1 1 0); 44.43°, rel. 22, (1 1 3); 46.12°, rel. 23, (2 0 0); 52.34°, rel. 16, (1 1 4); 56.12°, rel. 37, (2 1 2)

abc: 3.936 3.936 8.985
angles: 90.00 90.00 90.00
Atoms (fractional coordinates):
Ac  0.000  0.000  0.000
Ac  0.500  0.500  0.292
Ac  0.500  0.500  0.708
Cu  0.000  0.000  0.500
N  0.000  0.000  0.288
N  0.000  0.000  0.712
N  0.500  0.500  0.000


No. 2
Ac2CuPN4: computed powder XRD pattern (CuKα), based on a PBE-relaxed structure.

The 8 most intense peaks (2θ from 10° to 80°), low angle first:
22.01°, rel. 100, (1 1 1); 25.32°, rel. 44, (-1 1 1); 25.51°, rel. 54, (1 1 -1); 26.07°, rel. 52, (1 -1 1); 26.40°, rel. 46, (1 0 2); 28.75°, rel. 41, (1 0 -2); 29.73°, rel. 81, (0 2 0); 33.26°, rel. 91, (2 0 0)

abc: 5.442 6.121 8.221
angles: 80.55 84.09 83.75
Atoms (fractional coordinates):
Ac  0.230  0.235  0.022
Ac  0.242  0.740  0.599
Ac  0.758  0.260  0.401
Ac  0.770  0.765  0.978
Cu  0.250  0.213  0.665
Cu  0.750  0.787  0.335
P  0.228  0.712  0.212
P  0.772  0.288  0.788
N  0.055  0.501  0.232
N  0.059  0.915  0.309
N  0.288  0.808  0.014
N  0.480  0.631  0.313
N  0.520  0.369  0.687
N  0.712  0.192  0.986
N  0.941  0.085  0.691
N  0.945  0.499  0.768


No. 3
SrAcCuN2: computed powder XRD pattern (CuKα), based on a PBE-relaxed structure.

The 8 most intense peaks (2θ from 10° to 80°), low angle first:
17.23°, rel. 65, (0 1 0); 23.04°, rel. 90, (1 1 0); 25.07°, rel. 31, (0 0 2); 30.64°, rel. 71, (2 0 0); 33.27°, rel. 94, (1 1 -2); 34.86°, rel. 29, (0 2 0); 35.34°, rel. 100, (1 1 2); 47.09°, rel. 40, (2 2 0)

abc: 5.855 5.148 7.132
angles: 90.00 95.05 90.00
Atoms (fractional coordinates):
Sr  0.000  0.014  0.250
Sr  0.000  0.986  0.750
Ac  0.500  0.448  0.750
Ac  0.500  0.552  0.250
Cu  0.000  0.500  0.000
Cu  0.000  0.500  0.500
N  0.252  0.276  0.013
N  0.252  0.724  0.513
N  0.748  0.276  0.487
N  0.748  0.724  0.987


No. 4
Ac2ZnCuN: computed powder XRD pattern (CuKα), based on a PBE-relaxed structure.

The 8 most intense peaks (2θ from 10° to 80°), low angle first:
25.15°, rel. 55, (2 0 0); 25.44°, rel. 100, (1 1 0); 28.25°, rel. 71, (2 0 -2); 28.69°, rel. 72, (1 0 2); 31.37°, rel. 83, (1 1 -2); 31.51°, rel. 85, (0 1 2); 33.70°, rel. 56, (2 1 0); 44.46°, rel. 51, (3 1 0)

abc: 7.418 4.028 8.386
angles: 90.00 107.30 90.00
Atoms (fractional coordinates):
Ac  0.202  0.250  0.452
Ac  0.204  0.250  0.896
Ac  0.796  0.750  0.104
Ac  0.798  0.750  0.548
Zn  0.356  0.750  0.212
Zn  0.644  0.250  0.788
Cu  0.439  0.750  0.739
Cu  0.561  0.250  0.261
N  0.153  0.750  0.668
N  0.847  0.250  0.332


No. 5
AcNd2Cu: computed powder XRD pattern (CuKα), based on a PBE-relaxed structure.

The 8 most intense peaks (2θ from 10° to 80°), low angle first:
26.87°, rel. 18, (0 2 2); 27.84°, rel. 49, (1 3 0); 29.37°, rel. 100, (1 1 2); 30.09°, rel. 34, (1 3 1); 31.34°, rel. 25, (0 4 1); 34.66°, rel. 36, (2 0 0); 37.17°, rel. 29, (0 4 2); 51.73°, rel. 22, (2 4 2)

abc: 5.176 12.245 7.896
angles: 90.00 90.00 90.00
Atoms (fractional coordinates):
Ac  0.000  0.047  0.250
Ac  0.000  0.953  0.750
Ac  0.500  0.453  0.750
Ac  0.500  0.547  0.250
Nd  0.000  0.350  0.030
Nd  0.000  0.350  0.470
Nd  0.000  0.650  0.530
Nd  0.000  0.650  0.970
Nd  0.500  0.150  0.530
Nd  0.500  0.150  0.970
Nd  0.500  0.850  0.030
Nd  0.500  0.850  0.470
Cu  0.000  0.204  0.750
Cu  0.000  0.796  0.250
Cu  0.500  0.296  0.250
Cu  0.500  0.704  0.750


No. 6
Ac2NdCu: computed powder XRD pattern (CuKα), based on a PBE-relaxed structure.

The 8 most intense peaks (2θ from 10° to 80°), low angle first:
25.14°, rel. 21, (1 0 1); 29.03°, rel. 15, (0 0 3); 30.30°, rel. 100, (1 0 2); 33.02°, rel. 52, (1 1 0); 44.53°, rel. 19, (1 1 3); 47.40°, rel. 19, (2 0 0); 55.23°, rel. 15, (1 0 5); 57.30°, rel. 34, (2 1 2)

abc: 3.836 3.836 9.228
angles: 90.00 90.00 90.00
Atoms (fractional coordinates):
Ac  0.000  0.000  0.202
Ac  0.000  0.000  0.798
Nd  0.500  0.500  0.500
Cu  0.500  0.500  0.000